No. 1
Computed XRD peak list of Ca2Pr4Co for λ = 1.5418 Å (Cu Kα), from the PBE geometry in Alexandria.
Neutral-atom scattering factors, no anomalous dispersion.

Structural model:
```
data_Ca2Pr4Co
_space_group_name_H-M_alt 'P 1'
_space_group_IT_number 1
_cell_length_a 9.8807
_cell_length_b 9.8807
_cell_length_c 9.8807
_cell_angle_alpha 148.17
_cell_angle_beta 148.17
_cell_angle_gamma 45.64
loop_
_space_group_symop_operation_xyz
'x,y,z'
loop_
_atom_site_label
_atom_site_fract_x
_atom_site_fract_y
_atom_site_fract_z
Ca1 0.1510 0.1510 0.0000
Ca2 0.8490 0.8490 0.0000
Pr1 0.0000 0.5000 0.5000
Pr2 0.3492 0.3492 0.0000
Pr3 0.5000 0.0000 0.5000
Pr4 0.6508 0.6508 0.0000
Co1 0.5000 0.5000 0.0000
```

Peak list (10 most intense, 10° ≤ 2θ ≤ 90°, by intensity)
2θ (°)  d_spacing  I (rel.)
30.49  2.932  100
33.06  2.710  78
25.21  3.532  70
44.84  2.021  56
17.07  5.194  49
29.42  3.036  44
57.45  1.604  33
47.45  1.916  28
56.82  1.620  27
55.89  1.645  23

---

No. 2
Computed XRD peak list of CaPrCo for λ = 1.5418 Å (Cu Kα), from the PBE geometry in Alexandria.
Neutral-atom scattering factors, no anomalous dispersion.

Structural model:
```
data_CaPrCo
_space_group_name_H-M_alt 'P 1'
_space_group_IT_number 1
_cell_length_a 11.1109
_cell_length_b 11.1109
_cell_length_c 3.9741
_cell_angle_alpha 90.00
_cell_angle_beta 90.00
_cell_angle_gamma 159.07
loop_
_space_group_symop_operation_xyz
'x,y,z'
loop_
_atom_site_label
_atom_site_fract_x
_atom_site_fract_y
_atom_site_fract_z
Ca1 0.1895 0.8105 0.7500
Ca2 0.8105 0.1895 0.2500
Pr1 0.4278 0.5722 0.7500
Pr2 0.5722 0.4278 0.2500
Co1 0.0274 0.9726 0.7500
Co2 0.9726 0.0274 0.2500
```

Peak list (10 most intense, 10° ≤ 2θ ≤ 90°, by intensity)
2θ (°)  d_spacing  I (rel.)
33.96  2.640  100
30.14  2.965  89
27.76  3.214  73
37.85  2.377  65
31.86  2.809  65
45.67  1.986  41
36.38  2.469  38
44.91  2.018  30
55.68  1.651  30
32.79  2.731  29